The following is a simulated PXRD pattern of SrMg4Pb2. It was derived from a PBE-relaxed structure, using Cu Kα, 1.54184 Å.

Principal peaks in the range 2θ from 10° to 90°, in order of rising 2θ:
| (hkl) | d (Å) | Rel. int. |
| --- | --- | --- |
| 2 0 0 | 4.539 | 47.3 |
| 2 1 0 | 4.059 | 28.6 |
| 1 1 1 | 3.800 | 100.0 |
| 2 2 0 | 3.209 | 45.3 |
| 2 1 1 | 3.077 | 42.0 |
| 3 0 1 | 2.547 | 30.1 |
| 3 1 1 | 2.452 | 69.4 |
| 0 0 2 | 2.358 | 22.6 |
| 4 1 0 | 2.202 | 28.7 |
| 2 2 2 | 1.900 | 21.1 |
| 4 1 2 | 1.609 | 21.8 |
| 5 2 1 | 1.587 | 25.4 |

Atomic structure:
Unit cell a=9.077 b=9.077 c=4.716 alpha=90.00 beta=90.00 gamma=90.00
Fractional coordinates of all 14 atoms:
Sr1 0.000 0.000 0.000
Sr2 0.500 0.500 0.500
Mg1 0.089 0.348 0.500
Mg2 0.152 0.589 0.000
Mg3 0.348 0.089 0.500
Mg4 0.411 0.848 0.000
Mg5 0.589 0.152 0.000
Mg6 0.652 0.911 0.500
Mg7 0.848 0.411 0.000
Mg8 0.911 0.652 0.500
Pb1 0.212 0.788 0.500
Pb2 0.288 0.288 0.000
Pb3 0.712 0.712 0.000
Pb4 0.788 0.212 0.500